Entry 1:
ZnS: computed PXRD pattern (a wavelength of 1.5418 Å), based on a DFT-relaxed cell (GGA-PBE, the Materials Project).

Largest 10 diffraction maxima, sorted by position, 2θ = 15–90°:
2θ (°)	I/Imax
27.8	59
28.1	27
28.4	81
28.6	91
28.9	23
32.4	17
45.8	20
47.1	100
47.8	40
55.9	67

Cell and atoms:
```
ZnS
1.0
1.9299 1.1142 37.7629
-1.9299 1.1142 37.7629
0.0000 -2.2285 37.7629
Zn S
12 12
Cartesian
0.0000 0.0000 0.0000 Zn
0.0000 0.0000 6.2949 Zn
0.0000 0.0000 15.7354 Zn
0.0000 0.0000 25.1750 Zn
0.0000 0.0000 31.4704 Zn
0.0000 0.0000 40.9116 Zn
0.0000 0.0000 50.3521 Zn
0.0000 0.0000 59.7927 Zn
0.0000 0.0000 72.3793 Zn
0.0000 0.0000 84.9677 Zn
0.0000 0.0000 94.4084 Zn
0.0000 0.0000 103.8490 Zn
0.0000 0.0000 3.9376 S
0.0000 0.0000 13.3763 S
0.0000 0.0000 22.8168 S
0.0000 0.0000 29.1128 S
0.0000 0.0000 38.5503 S
0.0000 0.0000 47.9928 S
0.0000 0.0000 57.4333 S
0.0000 0.0000 70.0204 S
0.0000 0.0000 82.6083 S
0.0000 0.0000 92.0489 S
0.0000 0.0000 101.4876 S
0.0000 0.0000 110.9302 S
```

Entry 2:
ZnS: computed PXRD pattern (a wavelength of 1.5418 Å), based on a DFT-relaxed cell (GGA-PBE, the Materials Project).

Largest 10 diffraction maxima, sorted by position, 2θ = 15–90°:
2θ (°)	I/Imax
26.8	31
27.0	30
27.9	53
28.3	82
28.6	47
29.4	48
30.3	26
47.2	100
49.6	27
56.0	67

Cell and atoms:
```
ZnS
1.0
3.8520 0.0000 0.0000
-1.9260 3.3359 0.0000
0.0000 0.0000 44.1032
Zn S
14 14
Cartesian
0.0000 0.0000 0.0000 Zn
0.0000 0.0000 6.3011 Zn
0.0000 0.0000 12.6019 Zn
0.0000 0.0000 22.0517 Zn
0.0000 0.0000 31.5028 Zn
0.0000 2.2240 18.9014 Zn
0.0000 2.2240 25.2029 Zn
0.0000 2.2240 34.6527 Zn
0.0000 2.2240 40.9540 Zn
1.9260 1.1120 3.1501 Zn
1.9260 1.1120 9.4514 Zn
1.9260 1.1120 15.7523 Zn
1.9260 1.1120 28.3525 Zn
1.9260 1.1120 37.8029 Zn
0.0000 0.0000 2.3606 S
0.0000 0.0000 8.6630 S
0.0000 0.0000 14.9656 S
0.0000 0.0000 24.4162 S
0.0000 0.0000 33.8651 S
0.0000 2.2240 21.2620 S
0.0000 2.2240 27.5643 S
0.0000 2.2240 37.0133 S
0.0000 2.2240 43.3154 S
1.9260 1.1120 5.5128 S
1.9260 1.1120 11.8133 S
1.9260 1.1120 18.1137 S
1.9260 1.1120 30.7147 S
1.9260 1.1120 40.1674 S
```

Entry 3:
ZnS: computed PXRD pattern (a wavelength of 1.5418 Å), based on a DFT-relaxed cell (GGA-PBE, the Materials Project).

Largest 10 diffraction maxima, sorted by position, 2θ = 15–90°:
2θ (°)	I/Imax
26.9	28
27.4	14
28.4	100
28.6	18
29.0	18
29.2	10
46.9	73
47.6	18
55.8	54
87.1	14

Cell and atoms:
```
ZnS
1.0
1.9374 1.1186 56.5127
-1.9374 1.1186 56.5127
0.0000 -2.2372 56.5127
Zn S
18 18
Cartesian
0.0000 0.0000 0.0000 Zn
0.0000 0.0000 6.2794 Zn
0.0000 0.0000 15.6970 Zn
0.0000 0.0000 25.1166 Zn
0.0000 0.0000 31.3959 Zn
0.0000 0.0000 40.8145 Zn
0.0000 0.0000 50.2342 Zn
0.0000 0.0000 59.6519 Zn
0.0000 0.0000 65.9315 Zn
0.0000 0.0000 78.4898 Zn
0.0000 0.0000 84.7689 Zn
0.0000 0.0000 94.1876 Zn
0.0000 0.0000 103.6070 Zn
0.0000 0.0000 109.8869 Zn
0.0000 0.0000 125.5831 Zn
0.0000 0.0000 131.8639 Zn
0.0000 0.0000 147.5598 Zn
0.0000 0.0000 156.9802 Zn
0.0000 0.0000 2.3483 S
0.0000 0.0000 8.6322 S
0.0000 0.0000 18.0499 S
0.0000 0.0000 27.4674 S
0.0000 0.0000 33.7483 S
0.0000 0.0000 43.1654 S
0.0000 0.0000 52.5862 S
0.0000 0.0000 62.0025 S
0.0000 0.0000 68.2829 S
0.0000 0.0000 80.8379 S
0.0000 0.0000 87.1223 S
0.0000 0.0000 96.5395 S
0.0000 0.0000 105.9560 S
0.0000 0.0000 112.2365 S
0.0000 0.0000 127.9327 S
0.0000 0.0000 134.2134 S
0.0000 0.0000 149.9126 S
0.0000 0.0000 159.3308 S
```